No. 1
Starting from DFT lattice parameters and positions (PBE), the powder XRD pattern of AgSn4S8 was computed for Cu Kα, 1.54184 Å.
Kinematic intensities with the Lorentz-polarization factor, no thermal factor.

Crystal structure
a b c (Å): 7.4422 7.4422 8.5448
angles (deg): 121.29 121.29 61.16
Fractional coordinates of all 13 atoms:
1 Ag 0.0000 0.0000 0.0000
2 Sn 0.2578 0.2578 0.5193
3 Sn 0.2612 0.7388 0.5000
4 Sn 0.7388 0.2612 0.5000
5 Sn 0.7422 0.7422 0.4807
6 S 0.0010 0.0010 0.2900
7 S 0.0028 0.4826 0.2807
8 S 0.4826 0.0028 0.2807
9 S 0.4911 0.4911 0.2729
10 S 0.5089 0.5089 0.7271
11 S 0.5174 0.9972 0.7193
12 S 0.9972 0.5174 0.7193
13 S 0.9990 0.9990 0.7100

The 10 most intense peaks (2θ from 10° to 80°), sorted by position:
| 2theta | d/Å | intensity |
| --- | --- | --- |
| 13.0 | 6.815 | 100 |
| 27.5 | 3.245 | 54 |
| 29.0 | 3.080 | 18 |
| 31.6 | 2.830 | 50 |
| 35.1 | 2.555 | 37 |
| 36.4 | 2.468 | 29 |
| 40.1 | 2.248 | 39 |
| 46.6 | 1.948 | 17 |
| 49.6 | 1.837 | 23 |
| 60.9 | 1.521 | 18 |

***

No. 2
Starting from DFT lattice parameters and positions (PBE), the powder XRD pattern of AgSn4S8 was computed for Cu Kα, 1.54184 Å.
Kinematic intensities with the Lorentz-polarization factor, no thermal factor.

Crystal structure
a b c (Å): 7.6251 7.6251 7.6251
angles (deg): 60.00 60.00 60.00
Fractional coordinates of all 13 atoms:
1 Ag 0.0000 0.0000 0.0000
2 Sn 0.1358 0.6214 0.6214
3 Sn 0.6214 0.1358 0.6214
4 Sn 0.6214 0.6214 0.1358
5 Sn 0.6214 0.6214 0.6214
6 S 0.3782 0.3782 0.3782
7 S 0.3782 0.3782 0.8655
8 S 0.3782 0.8655 0.3782
9 S 0.3998 0.8667 0.8667
10 S 0.8655 0.3782 0.3782
11 S 0.8667 0.3998 0.8667
12 S 0.8667 0.8667 0.3998
13 S 0.8667 0.8667 0.8667

The 10 most intense peaks (2θ from 10° to 80°), sorted by position:
| 2theta | d/Å | intensity |
| --- | --- | --- |
| 14.2 | 6.226 | 52 |
| 27.4 | 3.251 | 100 |
| 28.7 | 3.113 | 16 |
| 33.2 | 2.696 | 58 |
| 36.3 | 2.474 | 14 |
| 43.6 | 2.075 | 45 |
| 47.7 | 1.906 | 74 |
| 66.6 | 1.404 | 23 |
| 76.5 | 1.245 | 14 |
| 79.5 | 1.206 | 18 |

***

No. 3
Starting from DFT lattice parameters and positions (PBE), the powder XRD pattern of SrAgSn2S4 was computed for Cu Kα, 1.54184 Å.
Kinematic intensities with the Lorentz-polarization factor, no thermal factor.

Crystal structure
a b c (Å): 6.9665 6.9665 14.1800
angles (deg): 90.00 90.00 145.75
Fractional coordinates of all 16 atoms:
1 Sr 0.1206 0.8794 0.7500
2 Sr 0.8794 0.1206 0.2500
3 Ag 0.1492 0.8508 0.2500
4 Ag 0.8508 0.1492 0.7500
5 Sn 0.3712 0.6288 0.5562
6 Sn 0.3712 0.6288 0.9438
7 Sn 0.6288 0.3712 0.0562
8 Sn 0.6288 0.3712 0.4438
9 S 0.0000 0.0000 0.0000
10 S 0.0000 0.0000 0.5000
11 S 0.2758 0.7242 0.1138
12 S 0.2758 0.7242 0.3862
13 S 0.4587 0.5413 0.7500
14 S 0.5413 0.4587 0.2500
15 S 0.7242 0.2758 0.6138
16 S 0.7242 0.2758 0.8862

The 10 most intense peaks (2θ from 10° to 80°), sorted by position:
| 2theta | d/Å | intensity |
| --- | --- | --- |
| 14.7 | 6.027 | 27 |
| 25.1 | 3.545 | 21 |
| 26.0 | 3.431 | 48 |
| 26.8 | 3.329 | 30 |
| 32.3 | 2.773 | 100 |
| 34.4 | 2.609 | 25 |
| 39.2 | 2.297 | 25 |
| 44.2 | 2.051 | 26 |
| 44.9 | 2.020 | 26 |
| 57.1 | 1.614 | 24 |

***

No. 4
Starting from DFT lattice parameters and positions (PBE), the powder XRD pattern of AgSnTeS was computed for Cu Kα, 1.54184 Å.
Kinematic intensities with the Lorentz-polarization factor, no thermal factor.

Crystal structure
a b c (Å): 4.1671 4.1671 14.5868
angles (deg): 90.00 90.00 120.00
Fractional coordinates of all 8 atoms:
1 Ag 0.0000 0.0000 0.0000
2 Ag 0.0000 0.0000 0.5000
3 Sn 0.3333 0.6667 0.2384
4 Sn 0.6667 0.3333 0.7384
5 Te 0.3333 0.6667 0.6045
6 Te 0.6667 0.3333 0.1045
7 S 0.0000 0.0000 0.3310
8 S 0.0000 0.0000 0.8310

The 10 most intense peaks (2θ from 10° to 80°), sorted by position:
| 2theta | d/Å | intensity |
| --- | --- | --- |
| 12.1 | 7.293 | 42 |
| 25.4 | 3.503 | 30 |
| 27.6 | 3.234 | 95 |
| 30.9 | 2.898 | 100 |
| 39.7 | 2.269 | 41 |
| 43.4 | 2.084 | 72 |
| 45.0 | 2.016 | 51 |
| 54.2 | 1.692 | 21 |
| 68.4 | 1.372 | 26 |
| 71.9 | 1.313 | 18 |

***

No. 5
Starting from DFT lattice parameters and positions (PBE), the powder XRD pattern of TlAgSnS2 was computed for Cu Kα, 1.54184 Å.
Kinematic intensities with the Lorentz-polarization factor, no thermal factor.

Crystal structure
a b c (Å): 7.1826 5.4951 7.8581
angles (deg): 90.00 113.90 90.00
Fractional coordinates of all 10 atoms:
1 Tl 0.0000 0.2329 0.2500
2 Tl 0.0000 0.7671 0.7500
3 Ag 0.5000 0.0000 0.0000
4 Ag 0.5000 0.0000 0.5000
5 Sn 0.5000 0.4096 0.7500
6 Sn 0.5000 0.5904 0.2500
7 S 0.2553 0.3081 0.9980
8 S 0.2553 0.6919 0.4980
9 S 0.7447 0.3081 0.5020
10 S 0.7447 0.6919 0.0020

The 10 most intense peaks (2θ from 10° to 80°), sorted by position:
| 2theta | d/Å | intensity |
| --- | --- | --- |
| 20.3 | 4.365 | 20 |
| 21.5 | 4.134 | 39 |
| 27.2 | 3.282 | 100 |
| 28.1 | 3.171 | 29 |
| 28.4 | 3.138 | 19 |
| 29.7 | 3.005 | 22 |
| 32.9 | 2.724 | 23 |
| 35.4 | 2.535 | 37 |
| 38.1 | 2.362 | 29 |
| 41.3 | 2.184 | 20 |

***

No. 6
Starting from DFT lattice parameters and positions (PBE), the powder XRD pattern of TaAg8S6 was computed for Cu Kα, 1.54184 Å.
Kinematic intensities with the Lorentz-polarization factor, no thermal factor.

Crystal structure
a b c (Å): 7.7536 7.5241 10.8486
angles (deg): 90.00 90.00 90.00
Fractional coordinates of all 30 atoms:
1 Ta 0.0000 0.2376 0.0000
2 Ta 0.5000 0.7624 0.5000
3 Ag 0.0000 0.7940 0.9560
4 Ag 0.0000 0.8820 0.5229
5 Ag 0.1959 0.9756 0.7496
6 Ag 0.2016 0.3552 0.6364
7 Ag 0.2019 0.3907 0.3417
8 Ag 0.2981 0.6093 0.8417
9 Ag 0.2984 0.6448 0.1364
10 Ag 0.3041 0.0244 0.2496
11 Ag 0.5000 0.1180 0.0229
12 Ag 0.5000 0.2060 0.4560
13 Ag 0.6959 0.0244 0.2496
14 Ag 0.7019 0.6093 0.8417
15 Ag 0.7016 0.6448 0.1364
16 Ag 0.7984 0.3552 0.6364
17 Ag 0.7981 0.3907 0.3417
18 Ag 0.8041 0.9756 0.7496
19 S 0.0000 0.2190 0.4839
20 S 0.0000 0.4861 0.1257
21 S 0.0000 0.6893 0.7296
22 S 0.0000 0.9990 0.1362
23 S 0.2489 0.2536 0.8817
24 S 0.2511 0.7464 0.3817
25 S 0.5000 0.0010 0.6362
26 S 0.5000 0.3107 0.2296
27 S 0.5000 0.5139 0.6257
28 S 0.5000 0.7810 0.9839
29 S 0.7489 0.7464 0.3817
30 S 0.7511 0.2536 0.8817

The 10 most intense peaks (2θ from 10° to 80°), sorted by position:
| 2theta | d/Å | intensity |
| --- | --- | --- |
| 25.1 | 3.554 | 34 |
| 27.2 | 3.283 | 44 |
| 27.4 | 3.259 | 37 |
| 28.3 | 3.154 | 100 |
| 28.9 | 3.091 | 55 |
| 35.2 | 2.551 | 43 |
| 35.7 | 2.513 | 30 |
| 41.8 | 2.163 | 29 |
| 43.0 | 2.105 | 33 |
| 47.5 | 1.913 | 36 |

***

No. 7
Starting from DFT lattice parameters and positions (PBE), the powder XRD pattern of TaAg7S6 was computed for Cu Kα, 1.54184 Å.
Kinematic intensities with the Lorentz-polarization factor, no thermal factor.

Crystal structure
a b c (Å): 7.3696 7.4943 7.5033
angles (deg): 115.67 93.32 118.84
Fractional coordinates of all 14 atoms:
1 Ta 0.0000 0.0000 0.0000
2 Ag 0.2023 0.5306 0.4212
3 Ag 0.2197 0.7032 0.0778
4 Ag 0.2741 0.0064 0.7222
5 Ag 0.4478 0.3039 0.5209
6 Ag 0.5381 0.5677 0.9710
7 Ag 0.6977 0.0862 0.2679
8 Ag 0.8697 0.0564 0.6210
9 S 0.2130 0.4519 0.7146
10 S 0.3802 0.2552 0.1195
11 S 0.4775 0.9508 0.4715
12 S 0.8567 0.7170 0.6426
13 S 0.8764 0.2491 0.0647
14 S 0.9298 0.8054 0.1822

The 10 most intense peaks (2θ from 10° to 80°), sorted by position:
| 2theta | d/Å | intensity |
| --- | --- | --- |
| 17.4 | 5.102 | 72 |
| 27.1 | 3.288 | 51 |
| 28.0 | 3.188 | 61 |
| 28.8 | 3.102 | 99 |
| 35.1 | 2.556 | 100 |
| 36.4 | 2.466 | 42 |
| 37.0 | 2.427 | 38 |
| 37.8 | 2.382 | 65 |
| 40.0 | 2.254 | 46 |
| 41.4 | 2.183 | 36 |

***

No. 8
Starting from DFT lattice parameters and positions (PBE), the powder XRD pattern of Ta2AgS4 was computed for Cu Kα, 1.54184 Å.
Kinematic intensities with the Lorentz-polarization factor, no thermal factor.

Crystal structure
a b c (Å): 3.3822 3.3822 13.6412
angles (deg): 90.00 90.00 120.00
Fractional coordinates of all 7 atoms:
1 Ta 0.0000 0.0000 0.2366
2 Ta 0.0000 0.0000 0.7634
3 Ag 0.0000 0.0000 0.5000
4 S 0.3333 0.6667 0.6481
5 S 0.3333 0.6667 0.8741
6 S 0.6667 0.3333 0.1259
7 S 0.6667 0.3333 0.3519

The 10 most intense peaks (2θ from 10° to 80°), sorted by position:
| 2theta | d/Å | intensity |
| --- | --- | --- |
| 13.0 | 6.821 | 69 |
| 19.5 | 4.547 | 15 |
| 26.1 | 3.410 | 21 |
| 30.5 | 2.929 | 67 |
| 33.3 | 2.691 | 35 |
| 36.5 | 2.462 | 24 |
| 40.6 | 2.222 | 100 |
| 54.2 | 1.691 | 29 |
| 61.2 | 1.515 | 14 |
| 69.9 | 1.346 | 21 |